[1]
Starting from a PBE-relaxed structure, the PXRD pattern of Sm3Sc2Sn3 was computed for λ = 1.5418 Å (Cu Kα).
Kinematic intensities with the Lorentz-polarization factor, no thermal factor.

Peak list (10 most intense, 5° ≤ 2θ ≤ 70°, low angle first)
19.9 deg, intensity 16
28.1 deg, intensity 31
30.6 deg, intensity 16
33.7 deg, intensity 100
34.6 deg, intensity 30
34.8 deg, intensity 15
44.6 deg, intensity 11
53.4 deg, intensity 27
64.3 deg, intensity 9
67.3 deg, intensity 14

Structure:
Lattice parameters (Å, degrees): 8.933 8.933 6.359 90.00 90.00 120.00
Atoms (fractional coordinates):
Sm  0.000  0.241  0.250
Sm  0.000  0.759  0.750
Sm  0.241  0.000  0.250
Sm  0.241  0.241  0.750
Sm  0.759  0.000  0.750
Sm  0.759  0.759  0.250
Sc  0.333  0.667  0.000
Sc  0.333  0.667  0.500
Sc  0.667  0.333  0.000
Sc  0.667  0.333  0.500
Sn  0.000  0.402  0.750
Sn  0.000  0.598  0.250
Sn  0.402  0.000  0.750
Sn  0.402  0.402  0.250
Sn  0.598  0.000  0.250
Sn  0.598  0.598  0.750


[2]
Starting from a PBE-relaxed structure, the PXRD pattern of NdMgCd4 was computed for λ = 1.5418 Å (Cu Kα).
Kinematic intensities with the Lorentz-polarization factor, no thermal factor.

Peak list (10 most intense, 5° ≤ 2θ ≤ 70°, low angle first)
24.5 deg, intensity 24
26.0 deg, intensity 17
33.4 deg, intensity 100
36.3 deg, intensity 100
45.2 deg, intensity 22
50.2 deg, intensity 31
53.4 deg, intensity 10
63.5 deg, intensity 30
65.3 deg, intensity 17
66.3 deg, intensity 31

Structure:
Lattice parameters (Å, degrees): 4.952 4.952 6.863 90.06 90.06 60.01
Atoms (fractional coordinates):
Nd  0.000  0.000  0.000
Mg  0.999  0.001  0.500
Cd  0.333  0.333  0.741
Cd  0.334  0.334  0.259
Cd  0.666  0.666  0.741
Cd  0.667  0.667  0.259


[3]
Starting from a PBE-relaxed structure, the PXRD pattern of RbSb2C2O4F5 was computed for λ = 1.5418 Å (Cu Kα).
Kinematic intensities with the Lorentz-polarization factor, no thermal factor.

Peak list (10 most intense, 5° ≤ 2θ ≤ 70°, low angle first)
15.3 deg, intensity 18
19.7 deg, intensity 20
20.0 deg, intensity 21
22.8 deg, intensity 100
27.0 deg, intensity 17
27.6 deg, intensity 51
30.8 deg, intensity 14
39.9 deg, intensity 24
41.4 deg, intensity 15
42.7 deg, intensity 15

Structure:
Lattice parameters (Å, degrees): 6.185 6.611 23.203 90.00 90.00 90.00
Atoms (fractional coordinates):
Rb  0.002  0.005  0.003
Rb  0.498  0.995  0.503
Rb  0.502  0.495  0.997
Rb  0.998  0.505  0.497
Sb  0.032  0.492  0.114
Sb  0.051  0.549  0.859
Sb  0.449  0.451  0.359
Sb  0.468  0.508  0.614
Sb  0.532  0.008  0.886
Sb  0.551  0.951  0.141
Sb  0.949  0.049  0.641
Sb  0.968  0.992  0.386
C  0.176  0.442  0.736
C  0.183  0.375  0.254
C  0.317  0.625  0.754
C  0.324  0.558  0.236
C  0.676  0.058  0.264
C  0.683  0.125  0.746
C  0.817  0.875  0.246
C  0.824  0.942  0.764
O  0.054  0.368  0.775
O  0.058  0.295  0.219
O  0.187  0.379  0.685
O  0.207  0.318  0.308
O  0.293  0.682  0.808
O  0.313  0.621  0.185
O  0.442  0.705  0.719
O  0.446  0.632  0.275
O  0.554  0.132  0.225
O  0.558  0.205  0.781
O  0.687  0.121  0.315
O  0.707  0.182  0.692
O  0.793  0.818  0.192
O  0.813  0.879  0.815
O  0.942  0.795  0.281
O  0.946  0.868  0.725
F  0.055  0.926  0.468
F  0.204  0.735  0.917
F  0.205  0.708  0.075
F  0.233  0.705  0.597
F  0.238  0.656  0.387
F  0.262  0.344  0.887
F  0.267  0.295  0.097
F  0.295  0.292  0.575
F  0.296  0.265  0.417
F  0.445  0.074  0.968
F  0.555  0.574  0.532
F  0.704  0.765  0.083
F  0.705  0.792  0.925
F  0.733  0.795  0.403
F  0.738  0.844  0.613
F  0.762  0.156  0.113
F  0.767  0.205  0.903
F  0.795  0.208  0.425
F  0.796  0.235  0.583
F  0.945  0.426  0.032


[4]
Starting from a PBE-relaxed structure, the PXRD pattern of CsErCd2Br8 was computed for λ = 1.5418 Å (Cu Kα).
Kinematic intensities with the Lorentz-polarization factor, no thermal factor.

Peak list (10 most intense, 5° ≤ 2θ ≤ 70°, low angle first)
8.4 deg, intensity 83
15.4 deg, intensity 45
15.5 deg, intensity 69
22.3 deg, intensity 39
22.4 deg, intensity 87
25.8 deg, intensity 95
28.1 deg, intensity 100
28.3 deg, intensity 42
43.7 deg, intensity 37
44.1 deg, intensity 39

Structure:
Lattice parameters (Å, degrees): 7.018 7.039 10.573 85.03 84.37 68.68
Atoms (fractional coordinates):
Cs  0.000  0.000  0.000
Er  0.000  0.000  0.500
Cd  0.373  0.369  0.293
Cd  0.627  0.631  0.707
Br  0.215  0.732  0.692
Br  0.239  0.238  0.513
Br  0.268  0.781  0.305
Br  0.324  0.300  0.069
Br  0.676  0.700  0.931
Br  0.732  0.219  0.695
Br  0.761  0.762  0.487
Br  0.785  0.268  0.308


[5]
Starting from a PBE-relaxed structure, the PXRD pattern of SrErTlPb was computed for λ = 1.5418 Å (Cu Kα).
Kinematic intensities with the Lorentz-polarization factor, no thermal factor.

Peak list (10 most intense, 5° ≤ 2θ ≤ 70°, low angle first)
19.5 deg, intensity 3
22.5 deg, intensity 6
32.1 deg, intensity 100
37.8 deg, intensity 2
39.5 deg, intensity 2
46.0 deg, intensity 19
50.4 deg, intensity 1
51.8 deg, intensity 3
57.2 deg, intensity 39
67.1 deg, intensity 12

Structure:
Lattice parameters (Å, degrees): 5.582 5.582 5.582 60.00 60.00 60.00
Atoms (fractional coordinates):
Sr  0.000  0.000  0.000
Er  0.500  0.500  0.500
Tl  0.750  0.750  0.750
Pb  0.250  0.250  0.250


[6]
Starting from a PBE-relaxed structure, the PXRD pattern of La4Pm2Sm2Mg was computed for λ = 1.5418 Å (Cu Kα).
Kinematic intensities with the Lorentz-polarization factor, no thermal factor.

Peak list (10 most intense, 5° ≤ 2θ ≤ 70°, low angle first)
30.0 deg, intensity 100
30.1 deg, intensity 99
34.8 deg, intensity 67
35.0 deg, intensity 33
50.0 deg, intensity 24
50.1 deg, intensity 24
50.2 deg, intensity 23
59.3 deg, intensity 14
59.5 deg, intensity 14
59.6 deg, intensity 42

Structure:
Lattice parameters (Å, degrees): 6.284 6.332 8.141 75.01 82.39 80.38
Atoms (fractional coordinates):
La  0.051  0.283  0.391
La  0.173  0.834  0.163
La  0.827  0.166  0.837
La  0.949  0.717  0.609
Pm  0.393  0.942  0.717
Pm  0.607  0.058  0.283
Sm  0.277  0.391  0.938
Sm  0.723  0.609  0.062
Mg  0.500  0.500  0.500


[7]
Starting from a PBE-relaxed structure, the PXRD pattern of KHg2TeO6 was computed for λ = 1.5418 Å (Cu Kα).
Kinematic intensities with the Lorentz-polarization factor, no thermal factor.

Peak list (10 most intense, 5° ≤ 2θ ≤ 70°, low angle first)
19.4 deg, intensity 100
20.4 deg, intensity 71
25.2 deg, intensity 80
26.7 deg, intensity 75
29.5 deg, intensity 87
30.1 deg, intensity 53
31.1 deg, intensity 65
31.4 deg, intensity 70
31.6 deg, intensity 51
42.1 deg, intensity 88

Structure:
Lattice parameters (Å, degrees): 5.798 5.805 6.141 69.13 73.24 63.01
Atoms (fractional coordinates):
K  0.000  0.000  0.000
Hg  0.249  0.201  0.402
Hg  0.678  0.717  0.861
Te  0.562  0.534  0.427
O  0.276  0.793  0.591
O  0.350  0.543  0.220
O  0.474  0.233  0.642
O  0.594  0.852  0.166
O  0.804  0.492  0.621
O  0.880  0.312  0.259


[8]
Starting from a PBE-relaxed structure, the PXRD pattern of AcGe3P4N12 was computed for λ = 1.5418 Å (Cu Kα).
Kinematic intensities with the Lorentz-polarization factor, no thermal factor.

Peak list (10 most intense, 5° ≤ 2θ ≤ 70°, low angle first)
15.1 deg, intensity 32
17.4 deg, intensity 22
23.1 deg, intensity 55
29.0 deg, intensity 32
30.3 deg, intensity 22
30.4 deg, intensity 100
35.2 deg, intensity 32
38.4 deg, intensity 21
47.1 deg, intensity 23
50.9 deg, intensity 21

Structure:
Lattice parameters (Å, degrees): 6.451 6.451 6.451 104.65 104.65 104.65
Atoms (fractional coordinates):
Ac  0.000  0.000  0.000
Ge  0.000  0.559  0.441
Ge  0.441  0.000  0.559
Ge  0.559  0.441  0.000
P  0.063  0.500  0.937
P  0.500  0.500  0.500
P  0.500  0.937  0.063
P  0.937  0.063  0.500
N  0.024  0.624  0.759
N  0.093  0.907  0.500
N  0.241  0.376  0.976
N  0.344  0.656  0.500
N  0.376  0.976  0.241
N  0.500  0.093  0.907
N  0.500  0.344  0.656
N  0.624  0.759  0.024
N  0.656  0.500  0.344
N  0.759  0.024  0.624
N  0.907  0.500  0.093
N  0.976  0.241  0.376


[9]
Starting from a PBE-relaxed structure, the PXRD pattern of TlTe3P3 was computed for λ = 1.5418 Å (Cu Kα).
Kinematic intensities with the Lorentz-polarization factor, no thermal factor.

Peak list (10 most intense, 5° ≤ 2θ ≤ 70°, low angle first)
8.5 deg, intensity 29
10.4 deg, intensity 27
25.8 deg, intensity 42
28.2 deg, intensity 26
28.5 deg, intensity 54
31.4 deg, intensity 45
33.6 deg, intensity 100
33.7 deg, intensity 34
47.4 deg, intensity 26
52.3 deg, intensity 22

Structure:
Lattice parameters (Å, degrees): 9.780 3.835 11.088 90.00 111.05 90.00
Atoms (fractional coordinates):
Tl  0.203  0.250  0.315
Tl  0.797  0.750  0.685
Te  0.089  0.250  0.628
Te  0.113  0.750  0.009
Te  0.420  0.750  0.578
Te  0.580  0.250  0.422
Te  0.887  0.250  0.991
Te  0.911  0.750  0.372
P  0.278  0.750  0.732
P  0.389  0.250  0.045
P  0.461  0.250  0.876
P  0.539  0.750  0.124
P  0.611  0.750  0.955
P  0.722  0.250  0.268


[10]
Starting from a PBE-relaxed structure, the PXRD pattern of K16Rb12Cd was computed for λ = 1.5418 Å (Cu Kα).
Kinematic intensities with the Lorentz-polarization factor, no thermal factor.

Peak list (10 most intense, 5° ≤ 2θ ≤ 70°, low angle first)
21.6 deg, intensity 49
22.1 deg, intensity 79
22.3 deg, intensity 59
22.5 deg, intensity 72
23.2 deg, intensity 100
23.4 deg, intensity 71
23.8 deg, intensity 83
23.9 deg, intensity 73
24.2 deg, intensity 85
25.8 deg, intensity 57

Structure:
Lattice parameters (Å, degrees): 15.000 15.000 13.504 109.02 109.02 112.64
Atoms (fractional coordinates):
K  0.000  0.000  0.000
K  0.006  0.006  0.658
K  0.021  0.682  0.420
K  0.288  0.720  0.309
K  0.298  0.607  0.628
K  0.338  0.338  0.743
K  0.356  0.356  0.371
K  0.404  0.676  0.033
K  0.405  0.996  0.688
K  0.607  0.298  0.628
K  0.613  0.969  0.998
K  0.676  0.404  0.033
K  0.682  0.021  0.420
K  0.720  0.288  0.309
K  0.969  0.613  0.998
K  0.996  0.405  0.688
Rb  0.003  0.377  0.221
Rb  0.153  0.978  0.368
Rb  0.155  0.786  0.816
Rb  0.188  0.369  0.012
Rb  0.369  0.188  0.012
Rb  0.377  0.003  0.221
Rb  0.590  0.763  0.541
Rb  0.665  0.665  0.856
Rb  0.748  0.748  0.249
Rb  0.763  0.590  0.541
Rb  0.786  0.155  0.816
Rb  0.978  0.153  0.368
Cd  0.510  0.510  0.228


[11]
Starting from a PBE-relaxed structure, the PXRD pattern of InTc2P was computed for λ = 1.5418 Å (Cu Kα).
Kinematic intensities with the Lorentz-polarization factor, no thermal factor.

Peak list (10 most intense, 5° ≤ 2θ ≤ 70°, low angle first)
28.3 deg, intensity 58
33.7 deg, intensity 21
35.9 deg, intensity 100
38.7 deg, intensity 32
42.7 deg, intensity 57
43.4 deg, intensity 90
49.2 deg, intensity 17
56.9 deg, intensity 17
68.8 deg, intensity 24
69.1 deg, intensity 28

Structure:
Lattice parameters (Å, degrees): 7.325 7.325 7.325 156.69 154.45 34.86
Atoms (fractional coordinates):
In  0.000  0.000  0.000
Tc  0.178  0.678  0.500
Tc  0.361  0.361  0.000
P  0.743  0.243  0.500


[12]
Starting from a PBE-relaxed structure, the PXRD pattern of CdAg6Pd was computed for λ = 1.5418 Å (Cu Kα).
Kinematic intensities with the Lorentz-polarization factor, no thermal factor.

Peak list (7 most intense, 5° ≤ 2θ ≤ 70°, low angle first)
37.5 deg, intensity 100
37.7 deg, intensity 98
43.5 deg, intensity 32
43.8 deg, intensity 63
63.3 deg, intensity 10
63.4 deg, intensity 40
64.1 deg, intensity 10

Structure:
Lattice parameters (Å, degrees): 7.203 6.557 5.079 75.30 61.70 43.01
Atoms (fractional coordinates):
Cd  0.000  0.000  0.000
Ag  0.125  0.125  0.375
Ag  0.254  0.254  0.746
Ag  0.375  0.375  0.125
Ag  0.625  0.625  0.875
Ag  0.746  0.746  0.254
Ag  0.875  0.875  0.625
Pd  0.500  0.500  0.500